[1]
The following is a theoretical powder diffractogram of CsLaW2O8. It was derived from the PBE+U geometry in the Materials Project, using a wavelength of 1.5418 Å.
No peak broadening, texture or thermal motion is included.

Principal peaks in the range 2θ from 15° to 90°, in order of falling intensity:
| h k l | 2theta | d [Å] | I/Imax |
| --- | --- | --- | --- |
| 2 2 -2 | 28.26 | 3.158 | 1000 |
| 2 2 0 | 26.40 | 3.377 | 939 |
| 0 0 2 | 30.24 | 2.956 | 459 |
| 4 0 -2 | 32.55 | 2.751 | 445 |
| 1 3 0 | 26.27 | 3.393 | 344 |
| 3 1 -2 | 27.35 | 3.261 | 340 |
| 0 4 2 | 44.80 | 2.023 | 228 |
| 0 4 0 | 32.26 | 2.775 | 216 |
| 2 2 -4 | 53.57 | 1.711 | 216 |
| 3 5 0 | 52.34 | 1.748 | 200 |

```
data_CsLaW2O8
_cell_length_a 11.0833
_cell_length_b 11.0990
_cell_length_c 7.6999
_cell_angle_alpha 90.00
_cell_angle_beta 129.85
_cell_angle_gamma 90.00
_symmetry_space_group_name_H-M 'C 1 2/c 1'
_symmetry_Int_Tables_number 15
_symmetry_space_group_name_Hall '-C 2yc'
loop_
_atom_site_label
_atom_site_type_symbol
_atom_site_fract_x
_atom_site_fract_y
_atom_site_fract_z
Cs1 Cs 0.0000 0.1983 0.2500
La1 La 0.0000 0.2246 0.7500
W1 W 0.1897 0.4956 0.7222
O1 O 0.0221 0.3956 0.9712
O2 O 0.1378 0.0774 0.6982
O3 O 0.1839 0.4363 0.4356
O4 O 0.2282 0.1535 0.1355
```


[2]
The following is a theoretical powder diffractogram of CsLi7Ni2O6. It was derived from the PBE+U geometry in the Materials Project, using a wavelength of 1.5418 Å.
No peak broadening, texture or thermal motion is included.

Principal peaks in the range 2θ from 15° to 90°, in order of falling intensity:
| h k l | 2theta | d [Å] | I/Imax |
| --- | --- | --- | --- |
| 1 1 -2 | 30.70 | 2.913 | 1000 |
| 1 1 -1 | 26.81 | 3.326 | 930 |
| 2 0 1 | 19.94 | 4.452 | 833 |
| 1 1 2 | 31.31 | 2.857 | 753 |
| 3 1 -1 | 36.52 | 2.460 | 468 |
| 2 0 0 | 17.42 | 5.090 | 454 |
| 0 2 0 | 49.00 | 1.859 | 308 |
| 3 1 0 | 35.83 | 2.506 | 307 |
| 5 1 -4 | 61.75 | 1.502 | 272 |
| 0 0 4 | 35.08 | 2.558 | 244 |

```
data_CsLi7Ni2O6
_cell_length_a 10.1974
_cell_length_b 3.7175
_cell_length_c 10.2501
_cell_angle_alpha 90.00
_cell_angle_beta 93.43
_cell_angle_gamma 90.00
_symmetry_space_group_name_H-M 'C 1 2/m 1'
_symmetry_Int_Tables_number 12
_symmetry_space_group_name_Hall '-C 2y'
loop_
_atom_site_label
_atom_site_type_symbol
_atom_site_fract_x
_atom_site_fract_y
_atom_site_fract_z
Cs1 Cs 0.0000 0.0000 0.0000
Li1 Li 0.0000 0.5000 0.5000
Li2 Li 0.1664 0.0000 0.2728
Li3 Li 0.2309 0.5000 0.1058
Li4 Li 0.2487 0.0000 0.5835
Ni1 Ni 0.0827 0.5000 0.7423
O1 O 0.1005 0.5000 0.2646
O2 O 0.1718 0.5000 0.5878
O3 O 0.2042 0.5000 0.8850
```


[3]
The following is a theoretical powder diffractogram of Cs2LiVO4. It was derived from the PBE+U geometry in the Materials Project, using a wavelength of 1.5418 Å.
No peak broadening, texture or thermal motion is included.

Principal peaks in the range 2θ from 15° to 90°, in order of falling intensity:
| h k l | 2theta | d [Å] | I/Imax |
| --- | --- | --- | --- |
| 1 3 1 | 27.97 | 3.190 | 1000 |
| 1 1 2 | 26.83 | 3.323 | 512 |
| 2 0 0 | 29.13 | 3.066 | 397 |
| 0 2 3 | 35.34 | 2.540 | 305 |
| 0 0 2 | 21.32 | 4.167 | 250 |
| 2 0 2 | 36.38 | 2.470 | 228 |
| 1 1 1 | 19.32 | 4.595 | 197 |
| 3 3 1 | 50.93 | 1.793 | 186 |
| 2 2 3 | 46.43 | 1.956 | 168 |
| 1 1 4 | 46.61 | 1.949 | 168 |

```
data_Cs2LiVO4
_cell_length_a 6.1320
_cell_length_b 12.5336
_cell_length_c 8.3338
_cell_angle_alpha 90.00
_cell_angle_beta 90.00
_cell_angle_gamma 90.00
_symmetry_space_group_name_H-M 'C m c 21'
_symmetry_Int_Tables_number 36
_symmetry_space_group_name_Hall 'C 2c -2'
loop_
_atom_site_label
_atom_site_type_symbol
_atom_site_fract_x
_atom_site_fract_y
_atom_site_fract_z
Cs1 Cs 0.0000 0.0722 0.0000
Cs2 Cs 0.0000 0.3931 0.8694
Li1 Li 0.0000 0.2042 0.5886
V1 V 0.0000 0.2999 0.3073
O1 O 0.0000 0.1630 0.3513
O2 O 0.0000 0.3605 0.4962
O3 O 0.2349 0.3359 0.2014
```


[4]
The following is a theoretical powder diffractogram of CsMgV2O5. It was derived from the PBE+U geometry in the Materials Project, using a wavelength of 1.5418 Å.
No peak broadening, texture or thermal motion is included.

Principal peaks in the range 2θ from 15° to 90°, in order of falling intensity:
| h k l | 2theta | d [Å] | I/Imax |
| --- | --- | --- | --- |
| 1 1 1 | 21.47 | 4.138 | 1000 |
| 0 1 0 | 16.16 | 5.483 | 904 |
| 1 0 2 | 29.42 | 3.036 | 786 |
| 1 -1 0 | 26.99 | 3.303 | 715 |
| 1 1 -1 | 30.71 | 2.911 | 525 |
| 2 0 1 | 33.54 | 2.672 | 502 |
| 1 0 -1 | 28.21 | 3.164 | 438 |
| 0 1 -1 | 22.83 | 3.895 | 408 |
| 2 1 1 | 33.19 | 2.699 | 397 |
| 0 1 -2 | 35.93 | 2.500 | 384 |

```
data_CsMgV2O5
_cell_length_a 5.5446
_cell_length_b 5.6868
_cell_length_c 6.2537
_cell_angle_alpha 82.28
_cell_angle_beta 65.83
_cell_angle_gamma 74.72
_symmetry_space_group_name_H-M 'P 1'
_symmetry_Int_Tables_number 1
_symmetry_space_group_name_Hall 'P 1'
loop_
_atom_site_label
_atom_site_type_symbol
_atom_site_fract_x
_atom_site_fract_y
_atom_site_fract_z
Cs1 Cs 0.0000 0.0000 0.0000
Mg1 Mg 0.7324 0.8884 0.5505
V1 V 0.1965 0.3122 0.3827
V2 V 0.5318 0.3677 0.7522
O1 O 0.0307 0.6207 0.3797
O2 O 0.3975 0.2345 0.0704
O3 O 0.4256 0.2052 0.5450
O4 O 0.5008 0.6872 0.7606
O5 O 0.9046 0.1571 0.5596
```


[5]
The following is a theoretical powder diffractogram of CsMg14WO16. It was derived from the PBE+U geometry in the Materials Project, using a wavelength of 1.5418 Å.
No peak broadening, texture or thermal motion is included.

Principal peaks in the range 2θ from 15° to 90°, in order of falling intensity:
| h k l | 2theta | d [Å] | I/Imax |
| --- | --- | --- | --- |
| 1 2 2 | 34.83 | 2.576 | 1000 |
| 0 0 4 | 39.93 | 2.258 | 872 |
| 2 0 0 | 40.38 | 2.234 | 856 |
| 0 4 0 | 40.99 | 2.202 | 780 |
| 1 1 2 | 29.91 | 2.987 | 632 |
| 0 1 2 | 22.13 | 4.017 | 618 |
| 1 1 0 | 22.32 | 3.984 | 581 |
| 2 0 4 | 58.09 | 1.588 | 522 |
| 0 4 4 | 58.56 | 1.576 | 486 |
| 2 4 0 | 58.90 | 1.568 | 484 |

```
data_CsMg14WO16
_cell_length_a 4.4670
_cell_length_b 8.8069
_cell_length_c 9.0310
_cell_angle_alpha 90.00
_cell_angle_beta 90.00
_cell_angle_gamma 90.00
_symmetry_space_group_name_H-M 'P m m m'
_symmetry_Int_Tables_number 47
_symmetry_space_group_name_Hall '-P 2 2'
loop_
_atom_site_label
_atom_site_type_symbol
_atom_site_fract_x
_atom_site_fract_y
_atom_site_fract_z
Cs1 Cs 0.0000 0.0000 0.0000
Mg1 Mg 0.0000 0.2601 0.2481
Mg2 Mg 0.0000 0.5000 0.0000
Mg3 Mg 0.0000 0.5000 0.5000
Mg4 Mg 0.5000 0.0000 0.2504
Mg5 Mg 0.5000 0.2584 0.5000
Mg6 Mg 0.5000 0.2649 0.0000
Mg7 Mg 0.5000 0.5000 0.2518
W1 W 0.0000 0.0000 0.5000
O1 O 0.0000 0.0000 0.2741
O2 O 0.0000 0.2545 0.5000
O3 O 0.0000 0.2874 0.0000
O4 O 0.0000 0.5000 0.2626
O5 O 0.5000 0.0000 0.0000
O6 O 0.5000 0.0000 0.5000
O7 O 0.5000 0.2502 0.2514
O8 O 0.5000 0.5000 0.0000
O9 O 0.5000 0.5000 0.5000
```


[6]
The following is a theoretical powder diffractogram of CsMg14WO16. It was derived from the PBE+U geometry in the Materials Project, using a wavelength of 1.5418 Å.
No peak broadening, texture or thermal motion is included.

Principal peaks in the range 2θ from 15° to 90°, in order of falling intensity:
| h k l | 2theta | d [Å] | I/Imax |
| --- | --- | --- | --- |
| 4 0 0 | 40.80 | 2.212 | 1000 |
| 4 0 2 | 58.46 | 1.579 | 627 |
| 2 2 1 | 34.91 | 2.570 | 626 |
| 1 1 1 | 24.34 | 3.657 | 612 |
| 0 0 2 | 40.00 | 2.254 | 549 |
| 2 0 0 | 20.07 | 4.424 | 513 |
| 2 0 1 | 28.27 | 3.157 | 444 |
| 3 1 1 | 37.85 | 2.377 | 403 |
| 3 1 0 | 31.99 | 2.798 | 375 |
| 4 4 0 | 59.06 | 1.564 | 294 |

```
data_CsMg14WO16
_cell_length_a 8.8473
_cell_length_b 8.8473
_cell_length_c 4.5076
_cell_angle_alpha 90.00
_cell_angle_beta 90.00
_cell_angle_gamma 90.00
_symmetry_space_group_name_H-M 'P 4/m m m'
_symmetry_Int_Tables_number 123
_symmetry_space_group_name_Hall '-P 4 2'
loop_
_atom_site_label
_atom_site_type_symbol
_atom_site_fract_x
_atom_site_fract_y
_atom_site_fract_z
Cs1 Cs 0.0000 0.0000 0.0000
Mg1 Mg 0.0000 0.2594 0.5000
Mg2 Mg 0.0000 0.5000 0.0000
Mg3 Mg 0.2422 0.5000 0.5000
Mg4 Mg 0.2487 0.2487 0.0000
W1 W 0.5000 0.5000 0.0000
O1 O 0.0000 0.0000 0.5000
O2 O 0.0000 0.2866 0.0000
O3 O 0.0000 0.5000 0.5000
O4 O 0.2506 0.2506 0.5000
O5 O 0.2535 0.5000 0.0000
O6 O 0.5000 0.5000 0.5000
```


Which formula does entry 2 have?
CsLi7Ni2O6


What is the formula in the second record?
CsLi7Ni2O6


Which formula does entry 4 have?
CsMgV2O5